No. 1
This entry pairs a crystal structure of BaW2S with its theoretical X-ray diffraction stick pattern. Radiation: Cu Kα (weighted mean of Kα1 and Kα2). Structure: DFT lattice parameters and positions (GGA-PBE).

Atomic structure:
```
data_BaW2S
_chemical_formula_sum 'Ba4 W8 S4'
_space_group_name_H-M_alt 'I -4 2 d'
_space_group_IT_number 122
_space_group_name_Hall 'I -4 2bw'
_cell_length_a 4.9222
_cell_length_b 4.9222
_cell_length_c 17.2130
_cell_angle_alpha 90.00
_cell_angle_beta 90.00
_cell_angle_gamma 90.00
loop_
_atom_site_label
_atom_site_type_symbol
_atom_site_fract_x
_atom_site_fract_y
_atom_site_fract_z
Ba1 Ba 0.0000 0.0000 0.0000
W1 W 0.0280 0.7500 0.6250
S1 S 0.0000 0.0000 0.5000
```

Top 12 peaks for 2θ = 15–90°, sorted by position:
2theta, Rel. int.
18.75, 35
20.64, 21
23.82, 100
27.65, 36
31.72, 49
38.03, 61
41.35, 51
41.99, 26
48.75, 30
56.07, 21
57.09, 38
64.55, 14

***

No. 2
This entry pairs a crystal structure of Ba3YS with its theoretical X-ray diffraction stick pattern. Radiation: Cu Kα (weighted mean of Kα1 and Kα2). Structure: DFT lattice parameters and positions (GGA-PBE).

Atomic structure:
```
data_Ba3YS
_chemical_formula_sum 'Ba3 Y1 S1'
_space_group_name_H-M_alt 'P m -3 m'
_space_group_IT_number 221
_space_group_name_Hall '-P 4 2 3'
_cell_length_a 6.1981
_cell_length_b 6.1981
_cell_length_c 6.1981
_cell_angle_alpha 90.00
_cell_angle_beta 90.00
_cell_angle_gamma 90.00
loop_
_atom_site_label
_atom_site_type_symbol
_atom_site_fract_x
_atom_site_fract_y
_atom_site_fract_z
Ba1 Ba 0.0000 0.0000 0.5000
Y1 Y 0.5000 0.5000 0.5000
S1 S 0.0000 0.0000 0.0000
```

Top 12 peaks for 2θ = 15–90°, sorted by position:
2theta, Rel. int.
24.88, 100
28.81, 69
32.30, 4
41.19, 51
48.73, 48
51.04, 18
59.67, 8
65.66, 20
67.59, 23
75.08, 17
80.53, 15
89.43, 6

***

No. 3
This entry pairs a crystal structure of BaZnS2 with its theoretical X-ray diffraction stick pattern. Radiation: Cu Kα (weighted mean of Kα1 and Kα2). Structure: DFT lattice parameters and positions (GGA-PBE).

Atomic structure:
```
data_BaZnS2
_chemical_formula_sum 'Ba4 Zn4 S8'
_space_group_name_H-M_alt 'P n m a'
_space_group_IT_number 62
_space_group_name_Hall '-P 2ac 2n'
_cell_length_a 7.0362
_cell_length_b 4.1004
_cell_length_c 14.8803
_cell_angle_alpha 90.00
_cell_angle_beta 90.00
_cell_angle_gamma 90.00
loop_
_atom_site_label
_atom_site_type_symbol
_atom_site_fract_x
_atom_site_fract_y
_atom_site_fract_z
Ba1 Ba 0.0532 0.2500 0.1572
Zn1 Zn 0.1100 0.7500 0.4359
S1 S 0.2171 0.2500 0.5190
S2 S 0.2337 0.7500 0.2954
```

Top 12 peaks for 2θ = 15–90°, sorted by position:
2theta, Rel. int.
21.92, 78
26.03, 24
27.89, 100
31.02, 21
34.12, 32
35.11, 14
37.34, 43
44.17, 20
44.94, 20
45.70, 26
49.84, 17
50.21, 15

***

No. 4
This entry pairs a crystal structure of BaZr4S8 with its theoretical X-ray diffraction stick pattern. Radiation: Cu Kα (weighted mean of Kα1 and Kα2). Structure: DFT lattice parameters and positions (GGA-PBE).

Atomic structure:
```
data_BaZr4S8
_chemical_formula_sum 'Ba3 Zr12 S24'
_space_group_name_H-M_alt 'R -3 m'
_space_group_IT_number 166
_space_group_name_Hall '-R 3 2"'
_cell_length_a 7.3115
_cell_length_b 7.3115
_cell_length_c 23.0486
_cell_angle_alpha 90.00
_cell_angle_beta 90.00
_cell_angle_gamma 120.00
loop_
_atom_site_label
_atom_site_type_symbol
_atom_site_fract_x
_atom_site_fract_y
_atom_site_fract_z
Ba1 Ba 0.0000 0.0000 0.0000
Zr1 Zr 0.0000 0.0000 0.5000
Zr2 Zr 0.0000 0.5000 0.5000
S1 S 0.0000 0.0000 0.2313
S2 S 0.0027 0.5014 0.2329
```

Top 12 peaks for 2θ = 15–90°, sorted by position:
2theta, Rel. int.
15.97, 17
23.15, 11
28.46, 11
29.25, 13
32.26, 100
39.49, 18
42.42, 37
49.89, 29
52.36, 10
60.67, 15
71.21, 11
82.29, 12

***

No. 5
This entry pairs a crystal structure of Ba4Zr3S10 with its theoretical X-ray diffraction stick pattern. Radiation: Cu Kα (weighted mean of Kα1 and Kα2). Structure: DFT lattice parameters and positions (GGA-PBE).

Atomic structure:
```
data_Ba4Zr3S10
_chemical_formula_sum 'Ba8 Zr6 S20'
_space_group_name_H-M_alt 'I 4/m m m'
_space_group_IT_number 139
_space_group_name_Hall '-I 4 2'
_cell_length_a 5.0507
_cell_length_b 5.0507
_cell_length_c 35.9082
_cell_angle_alpha 90.00
_cell_angle_beta 90.00
_cell_angle_gamma 90.00
loop_
_atom_site_label
_atom_site_type_symbol
_atom_site_fract_x
_atom_site_fract_y
_atom_site_fract_z
Ba1 Ba 0.0000 0.0000 0.0673
Ba2 Ba 0.0000 0.0000 0.1997
Zr1 Zr 0.0000 0.0000 0.3568
Zr2 Zr 0.0000 0.0000 0.5000
S1 S 0.0000 0.0000 0.2869
S2 S 0.0000 0.0000 0.4295
S3 S 0.0000 0.5000 0.0000
S4 S 0.0000 0.5000 0.1394
```

Top 12 peaks for 2θ = 15–90°, sorted by position:
2theta, Rel. int.
24.74, 100
24.93, 71
32.03, 36
34.98, 23
35.55, 68
43.44, 17
43.79, 44
50.73, 30
51.15, 22
57.68, 24
63.48, 15
86.10, 12

***

No. 6
This entry pairs a crystal structure of Ba3Zr2S7 with its theoretical X-ray diffraction stick pattern. Radiation: Cu Kα (weighted mean of Kα1 and Kα2). Structure: DFT lattice parameters and positions (GGA-PBE).

Atomic structure:
```
data_Ba3Zr2S7
_chemical_formula_sum 'Ba12 Zr8 S28'
_space_group_name_H-M_alt 'P 42/m n m'
_space_group_IT_number 136
_space_group_name_Hall '-P 4n 2n'
_cell_length_a 7.1720
_cell_length_b 7.1720
_cell_length_c 25.5385
_cell_angle_alpha 90.00
_cell_angle_beta 90.00
_cell_angle_gamma 90.00
loop_
_atom_site_label
_atom_site_type_symbol
_atom_site_fract_x
_atom_site_fract_y
_atom_site_fract_z
Ba1 Ba 0.2347 0.2347 0.1811
Ba2 Ba 0.2453 0.7547 0.5000
Zr1 Zr 0.2490 0.2490 0.4000
S1 S 0.0000 0.0000 0.0818
S2 S 0.0000 0.0000 0.3873
S3 S 0.0000 0.5000 0.0956
S4 S 0.2064 0.2064 0.5000
S5 S 0.2139 0.7861 0.1979
```

Top 12 peaks for 2θ = 15–90°, sorted by position:
2theta, Rel. int.
24.78, 100
32.65, 19
35.14, 11
35.40, 36
36.28, 6
43.50, 11
43.67, 27
50.74, 14
50.93, 11
57.44, 13
63.38, 6
69.29, 7

***

No. 7
This entry pairs a crystal structure of Ba5Sb with its theoretical X-ray diffraction stick pattern. Radiation: Cu Kα (weighted mean of Kα1 and Kα2). Structure: DFT lattice parameters and positions (GGA-PBE).

Atomic structure:
```
data_Ba5Sb
_chemical_formula_sum 'Ba10 Sb2'
_space_group_name_H-M_alt 'C 1 m 1'
_space_group_IT_number 8
_space_group_name_Hall 'C -2y'
_cell_length_a 15.3127
_cell_length_b 4.5273
_cell_length_c 10.5257
_cell_angle_alpha 90.00
_cell_angle_beta 113.46
_cell_angle_gamma 90.00
loop_
_atom_site_label
_atom_site_type_symbol
_atom_site_fract_x
_atom_site_fract_y
_atom_site_fract_z
Ba1 Ba 0.0000 0.0000 0.0000
Ba2 Ba 0.0331 0.0000 0.3932
Ba3 Ba 0.1580 0.5000 0.7700
Ba4 Ba 0.2835 0.0000 0.1470
Ba5 Ba 0.3166 0.0000 0.5407
Sb1 Sb 0.1585 0.5000 0.2702
```

Top 12 peaks for 2θ = 15–90°, sorted by position:
2theta, Rel. int.
21.53, 17
23.25, 21
24.71, 29
25.43, 31
25.98, 93
26.23, 53
27.40, 100
32.63, 21
38.62, 23
39.83, 29
47.87, 25
48.32, 20

***

No. 8
This entry pairs a crystal structure of Ba11Sb10 with its theoretical X-ray diffraction stick pattern. Radiation: Cu Kα (weighted mean of Kα1 and Kα2). Structure: DFT lattice parameters and positions (GGA-PBE).

Atomic structure:
```
data_Ba11Sb10
_chemical_formula_sum 'Ba44 Sb40'
_space_group_name_H-M_alt 'I m m m'
_space_group_IT_number 71
_space_group_name_Hall '-I 2 2'
_cell_length_a 12.8260
_cell_length_b 13.3621
_cell_length_c 19.8408
_cell_angle_alpha 90.00
_cell_angle_beta 90.00
_cell_angle_gamma 90.00
loop_
_atom_site_label
_atom_site_type_symbol
_atom_site_fract_x
_atom_site_fract_y
_atom_site_fract_z
Ba1 Ba 0.0000 0.0000 0.1480
Ba2 Ba 0.0000 0.2519 0.3131
Ba3 Ba 0.0000 0.3233 0.1102
Ba4 Ba 0.1720 0.5000 0.4001
Ba5 Ba 0.1735 0.1639 0.5000
Ba6 Ba 0.2492 0.0000 0.3037
Sb1 Sb 0.0000 0.0000 0.3863
Sb2 Sb 0.0000 0.3487 0.5000
Sb3 Sb 0.0000 0.5000 0.2553
Sb4 Sb 0.1098 0.1307 0.0000
Sb5 Sb 0.1148 0.5000 0.0000
Sb6 Sb 0.2137 0.2107 0.1845
```

Top 12 peaks for 2θ = 15–90°, sorted by position:
2theta, Rel. int.
27.02, 46
27.26, 31
27.84, 100
28.20, 56
28.36, 24
28.95, 53
29.27, 27
30.16, 40
30.36, 20
30.75, 25
38.94, 22
57.04, 17

***

No. 9
This entry pairs a crystal structure of Ba3Sb4 with its theoretical X-ray diffraction stick pattern. Radiation: Cu Kα (weighted mean of Kα1 and Kα2). Structure: DFT lattice parameters and positions (GGA-PBE).

Atomic structure:
```
data_Ba3Sb4
_chemical_formula_sum 'Ba6 Sb8'
_space_group_name_H-M_alt 'I 4/m m m'
_space_group_IT_number 139
_space_group_name_Hall '-I 4 2'
_cell_length_a 4.2615
_cell_length_b 4.2615
_cell_length_c 30.9795
_cell_angle_alpha 90.00
_cell_angle_beta 90.00
_cell_angle_gamma 90.00
loop_
_atom_site_label
_atom_site_type_symbol
_atom_site_fract_x
_atom_site_fract_y
_atom_site_fract_z
Ba1 Ba 0.0000 0.0000 0.0000
Ba2 Ba 0.0000 0.0000 0.3125
Sb1 Sb 0.0000 0.0000 0.1114
Sb2 Sb 0.0000 0.0000 0.4214
```

Top 12 peaks for 2θ = 15–90°, sorted by position:
2theta, Rel. int.
22.57, 27
28.82, 21
29.09, 70
29.65, 100
33.46, 54
41.82, 31
42.42, 37
52.26, 27
55.08, 26
60.83, 21
69.79, 17
76.96, 21

***

No. 10
This entry pairs a crystal structure of Ba5Sb4 with its theoretical X-ray diffraction stick pattern. Radiation: Cu Kα (weighted mean of Kα1 and Kα2). Structure: DFT lattice parameters and positions (GGA-PBE).

Atomic structure:
```
data_Ba5Sb4
_chemical_formula_sum 'Ba20 Sb16'
_space_group_name_H-M_alt 'C m c e'
_space_group_IT_number 64
_space_group_name_Hall '-C 2ac 2'
_cell_length_a 18.0097
_cell_length_b 9.1469
_cell_length_c 9.1893
_cell_angle_alpha 90.00
_cell_angle_beta 90.00
_cell_angle_gamma 90.00
loop_
_atom_site_label
_atom_site_type_symbol
_atom_site_fract_x
_atom_site_fract_y
_atom_site_fract_z
Ba1 Ba 0.0000 0.0000 0.0000
Ba2 Ba 0.1461 0.1685 0.3358
Sb1 Sb 0.0000 0.1132 0.6129
Sb2 Sb 0.1981 0.0000 0.0000
```

Top 12 peaks for 2θ = 15–90°, sorted by position:
2theta, Rel. int.
23.87, 30
26.30, 100
27.52, 41
27.77, 65
28.35, 18
29.49, 63
29.76, 46
31.19, 49
31.31, 50
39.92, 45
40.68, 19
54.77, 22

***

No. 11
This entry pairs a crystal structure of Ba2Sb3 with its theoretical X-ray diffraction stick pattern. Radiation: Cu Kα (weighted mean of Kα1 and Kα2). Structure: DFT lattice parameters and positions (GGA-PBE).

Atomic structure:
```
data_Ba2Sb3
_chemical_formula_sum 'Ba16 Sb24'
_space_group_name_H-M_alt 'P 1 21/c 1'
_space_group_IT_number 14
_space_group_name_Hall '-P 2ybc'
_cell_length_a 7.0318
_cell_length_b 13.6826
_cell_length_c 16.0017
_cell_angle_alpha 90.00
_cell_angle_beta 90.17
_cell_angle_gamma 90.00
loop_
_atom_site_label
_atom_site_type_symbol
_atom_site_fract_x
_atom_site_fract_y
_atom_site_fract_z
Ba1 Ba 0.0219 0.2279 0.2396
Ba2 Ba 0.2459 0.6226 0.0059
Ba3 Ba 0.2528 0.1262 0.9929
Ba4 Ba 0.4755 0.5232 0.2460
Sb1 Sb 0.0018 0.0197 0.6692
Sb2 Sb 0.1006 0.5484 0.6557
Sb3 Sb 0.2442 0.1170 0.4191
Sb4 Sb 0.2572 0.6327 0.4298
Sb5 Sb 0.4109 0.7069 0.6624
Sb6 Sb 0.4945 0.2307 0.6604
```

Top 12 peaks for 2θ = 15–90°, sorted by position:
2theta, Rel. int.
24.66, 37
25.62, 22
27.72, 100
28.38, 89
28.80, 64
29.57, 40
30.85, 20
33.21, 19
33.43, 32
36.65, 68
38.42, 51
58.68, 16

***

Repeat the eighth record exactly.
This entry pairs a crystal structure of Ba11Sb10 with its theoretical X-ray diffraction stick pattern. Radiation: Cu Kα (weighted mean of Kα1 and Kα2). Structure: DFT lattice parameters and positions (GGA-PBE).

Atomic structure:
```
data_Ba11Sb10
_chemical_formula_sum 'Ba44 Sb40'
_space_group_name_H-M_alt 'I m m m'
_space_group_IT_number 71
_space_group_name_Hall '-I 2 2'
_cell_length_a 12.8260
_cell_length_b 13.3621
_cell_length_c 19.8408
_cell_angle_alpha 90.00
_cell_angle_beta 90.00
_cell_angle_gamma 90.00
loop_
_atom_site_label
_atom_site_type_symbol
_atom_site_fract_x
_atom_site_fract_y
_atom_site_fract_z
Ba1 Ba 0.0000 0.0000 0.1480
Ba2 Ba 0.0000 0.2519 0.3131
Ba3 Ba 0.0000 0.3233 0.1102
Ba4 Ba 0.1720 0.5000 0.4001
Ba5 Ba 0.1735 0.1639 0.5000
Ba6 Ba 0.2492 0.0000 0.3037
Sb1 Sb 0.0000 0.0000 0.3863
Sb2 Sb 0.0000 0.3487 0.5000
Sb3 Sb 0.0000 0.5000 0.2553
Sb4 Sb 0.1098 0.1307 0.0000
Sb5 Sb 0.1148 0.5000 0.0000
Sb6 Sb 0.2137 0.2107 0.1845
```

Top 12 peaks for 2θ = 15–90°, sorted by position:
2theta, Rel. int.
27.02, 46
27.26, 31
27.84, 100
28.20, 56
28.36, 24
28.95, 53
29.27, 27
30.16, 40
30.36, 20
30.75, 25
38.94, 22
57.04, 17